# V2Cd3O8
Calculated powder XRD pattern, Cu Kα (weighted mean of Kα1 and Kα2). Input: a cell relaxed with PBE+U.
Peak positions follow from Bragg's law for the DFT cell and can differ from measured ones.

The 6 most intense peaks (10° ≤ 2θ ≤ 90°), low angle first:
2θ (°)	intensity
17.5	53
27.4	50
32.1	100
33.5	75
39.9	42
58.1	55

Structure:
```
V2Cd3O8
1.0
3.339 -6.147 0.000
3.339 6.147 0.000
0.000 0.000 8.919
V Cd O
4 6 16
direct
0.117 0.883 0.880
0.383 0.617 0.380
0.617 0.383 0.620
0.883 0.117 0.120
0.000 0.000 0.500
0.109 0.391 0.750
0.391 0.109 0.250
0.500 0.500 0.000
0.609 0.891 0.750
0.891 0.609 0.250
0.001 0.999 0.753
0.096 0.328 0.009
0.172 0.404 0.491
0.239 0.761 0.779
0.261 0.739 0.279
0.328 0.096 0.991
0.404 0.172 0.509
0.499 0.501 0.253
0.501 0.499 0.747
0.596 0.828 0.491
0.672 0.904 0.009
0.739 0.261 0.721
0.761 0.239 0.221
0.828 0.596 0.509
0.904 0.672 0.991
0.999 0.001 0.247
```